For Li2MgCd2Hg4, DFT lattice parameters and positions (GGA-PBE) gives the calculated PXRD pattern in this record (Cu Kα X-rays).
Intensities are scaled so that the largest is 100.

Cell and atoms:
a = 15.061 Å, b = 3.444 Å, c = 7.819 Å
α = 90.00°, β = 109.75°, γ = 90.00°
Space group C2/m (No. 12)
Symmetry-distinct sites (fractional):
Li1 0.130 0.000 0.132 x4
Mg1 0.000 0.000 0.500 x2
Cd1 0.166 0.500 0.475 x4
Hg1 0.022 0.500 0.826 x4
Hg2 0.202 0.000 0.821 x4

Top 8 peaks for 2θ = 5–70°, in order of rising 2θ:
20.1 deg, intensity 23, (2 0 1); 23.2 deg, intensity 20, (2 0 -2); 26.6 deg, intensity 21, (1 1 0); 28.4 deg, intensity 20, (1 1 -1); 35.8 deg, intensity 20, (6 0 -1); 36.4 deg, intensity 71, (3 1 -2); 36.7 deg, intensity 100, (0 0 3); 66.3 deg, intensity 22, (0 2 3)

=====

For LiMg2CdHg4, DFT lattice parameters and positions (GGA-PBE) gives the calculated PXRD pattern in this record (Cu Kα X-rays).
Intensities are scaled so that the largest is 100.

Cell and atoms:
a = 4.9177 Å, b = 4.9177 Å, c = 24.2496 Å
α = 90.00°, β = 90.00°, γ = 120.00°
Space group R-3m (No. 166, hexagonal axes)
Symmetry-distinct sites (fractional):
Li1 0.0000 0.0000 0.0000 x3
Mg1 0.0000 0.0000 0.2478 x6
Cd1 0.0000 0.0000 0.5000 x3
Hg1 0.0000 0.0000 0.1173 x6
Hg2 0.0000 0.0000 0.3693 x6

Top 8 peaks for 2θ = 5–70°, in order of rising 2θ:
25.6 deg, intensity 99, (1 0 4); 36.4 deg, intensity 92, (0 1 8); 36.5 deg, intensity 100, (1 1 0); 45.1 deg, intensity 23, (0 2 4); 52.5 deg, intensity 32, (2 0 8); 59.4 deg, intensity 21, (2 1 4); 65.7 deg, intensity 33, (1 2 8); 65.8 deg, intensity 18, (3 0 0)

=====

For Li2Mg2CdHg7, DFT lattice parameters and positions (GGA-PBE) gives the calculated PXRD pattern in this record (Cu Kα X-rays).
Intensities are scaled so that the largest is 100.

Cell and atoms:
a = 5.330 Å, b = 18.735 Å, c = 5.333 Å
α = 90.00°, β = 90.00°, γ = 90.00°
Space group Imm2 (No. 44)
Symmetry-distinct sites (fractional):
Li1 0.000 0.155 0.000 x4
Mg1 0.000 0.250 0.496 x4
Cd1 0.000 0.500 0.993 x2
Hg1 0.000 0.000 0.000 x2
Hg2 0.000 0.091 0.500 x4
Hg3 0.000 0.310 0.995 x4
Hg4 0.000 0.409 0.494 x4

Top 8 peaks for 2θ = 5–70°, in order of rising 2θ:
9.4 deg, intensity 27, (0 2 0); 21.9 deg, intensity 37, (1 3 0); 30.4 deg, intensity 57, (1 4 1); 33.6 deg, intensity 85, (2 0 0); 37.4 deg, intensity 100, (1 6 1); 48.3 deg, intensity 31, (2 0 2); 60.4 deg, intensity 20, (2 10 0); 62.6 deg, intensity 45, (3 6 1)

=====

Copy entry 2 word for word.
For LiMg2CdHg4, DFT lattice parameters and positions (GGA-PBE) gives the calculated PXRD pattern in this record (Cu Kα X-rays).
Intensities are scaled so that the largest is 100.

Cell and atoms:
a = 4.9177 Å, b = 4.9177 Å, c = 24.2496 Å
α = 90.00°, β = 90.00°, γ = 120.00°
Space group R-3m (No. 166, hexagonal axes)
Symmetry-distinct sites (fractional):
Li1 0.0000 0.0000 0.0000 x3
Mg1 0.0000 0.0000 0.2478 x6
Cd1 0.0000 0.0000 0.5000 x3
Hg1 0.0000 0.0000 0.1173 x6
Hg2 0.0000 0.0000 0.3693 x6

Top 8 peaks for 2θ = 5–70°, in order of rising 2θ:
25.6 deg, intensity 99, (1 0 4); 36.4 deg, intensity 92, (0 1 8); 36.5 deg, intensity 100, (1 1 0); 45.1 deg, intensity 23, (0 2 4); 52.5 deg, intensity 32, (2 0 8); 59.4 deg, intensity 21, (2 1 4); 65.7 deg, intensity 33, (1 2 8); 65.8 deg, intensity 18, (3 0 0)